(1)
Structure and theoretical powder XRD pattern of Rb2ScCoF6 (a PBE+U-relaxed structure; Cu Kα, 1.54184 Å).
Neutral-atom scattering factors, no anomalous dispersion.

Main lines, in order of rising 2θ (2θ = 15–90°):
- 29.3°, I 100
- 36.1°, I 22
- 41.9°, I 32
- 42.1°, I 16
- 52.0°, I 39
- 60.9°, I 29
- 68.9°, I 12
- 76.7°, I 9
- 84.1°, I 13
- 84.2°, I 7

Structural model:
Cell: 6.085 6.085 6.085 Å, 119.90 119.90 90.17°
Fractional positions:
1 Rb 0.250 0.750 0.500
2 Rb 0.750 0.250 0.500
3 Sc 0.000 0.000 0.000
4 Co 0.500 0.500 0.000
5 F 0.237 0.237 0.474
6 F 0.237 0.763 0.000
7 F 0.238 0.238 0.000
8 F 0.762 0.762 0.000
9 F 0.763 0.237 0.000
10 F 0.763 0.763 0.526

---

(2)
Structure and theoretical powder XRD pattern of RbCo2SnF8 (a PBE+U-relaxed structure; Cu Kα, 1.54184 Å).
Neutral-atom scattering factors, no anomalous dispersion.

Main lines, in order of rising 2θ (2θ = 15–90°):
- 23.6°, I 94
- 24.4°, I 100
- 29.4°, I 69
- 33.5°, I 18
- 36.2°, I 30
- 36.9°, I 54
- 40.2°, I 30
- 41.0°, I 35
- 48.3°, I 27
- 50.1°, I 15

Structural model:
Cell: 5.282 5.503 6.672 Å, 76.84 76.18 88.70°
Fractional positions:
1 Rb 0.000 0.000 0.000
2 Co 0.497 0.501 0.248
3 Co 0.503 0.499 0.752
4 Sn 0.000 0.000 0.500
5 F 0.244 0.738 0.726
6 F 0.288 0.330 0.540
7 F 0.310 0.798 0.255
8 F 0.311 0.352 0.074
9 F 0.689 0.648 0.926
10 F 0.690 0.202 0.745
11 F 0.712 0.670 0.460
12 F 0.756 0.262 0.274

---

(3)
Structure and theoretical powder XRD pattern of Rb2TaCoF6 (a PBE+U-relaxed structure; Cu Kα, 1.54184 Å).
Neutral-atom scattering factors, no anomalous dispersion.

Main lines, in order of rising 2θ (2θ = 15–90°):
- 17.7°, I 23
- 20.4°, I 10
- 29.0°, I 100
- 34.2°, I 12
- 41.5°, I 37
- 51.4°, I 41
- 60.1°, I 23
- 68.1°, I 18
- 75.7°, I 8
- 83.0°, I 21

Structural model:
Cell: 6.152 6.152 6.152 Å, 119.96 119.96 90.08°
Fractional positions:
1 Rb 0.250 0.750 0.500
2 Rb 0.750 0.250 0.500
3 Ta 0.000 0.000 0.000
4 Co 0.500 0.500 0.000
5 F 0.241 0.241 0.000
6 F 0.242 0.242 0.484
7 F 0.242 0.758 0.000
8 F 0.758 0.242 0.000
9 F 0.758 0.758 0.516
10 F 0.759 0.759 0.000

---

(4)
Structure and theoretical powder XRD pattern of RbCo2WF8 (a PBE+U-relaxed structure; Cu Kα, 1.54184 Å).
Neutral-atom scattering factors, no anomalous dispersion.

Main lines, in order of rising 2θ (2θ = 15–90°):
- 19.2°, I 15
- 20.2°, I 14
- 23.9°, I 100
- 33.0°, I 41
- 35.2°, I 30
- 40.0°, I 17
- 41.2°, I 22
- 53.7°, I 21
- 56.8°, I 25
- 58.9°, I 15

Structural model:
Cell: 8.672 8.672 8.672 Å, 36.51 36.51 36.51°
Fractional positions:
1 Rb 0.000 0.000 0.000
2 Co 0.246 0.246 0.246
3 Co 0.754 0.754 0.754
4 W 0.500 0.500 0.500
5 F 0.130 0.453 0.764
6 F 0.236 0.870 0.547
7 F 0.323 0.323 0.323
8 F 0.453 0.764 0.130
9 F 0.547 0.236 0.870
10 F 0.677 0.677 0.677
11 F 0.764 0.130 0.453
12 F 0.870 0.547 0.236

---

(5)
Structure and theoretical powder XRD pattern of Co3RhF8 (a PBE+U-relaxed structure; Cu Kα, 1.54184 Å).
Neutral-atom scattering factors, no anomalous dispersion.

Main lines, in order of rising 2θ (2θ = 15–90°):
- 18.5°, I 100
- 23.2°, I 75
- 33.7°, I 43
- 33.9°, I 14
- 38.0°, I 35
- 43.1°, I 61
- 53.1°, I 12
- 58.8°, I 34
- 59.1°, I 12
- 71.2°, I 12

Structural model:
Cell: 5.491 5.491 6.385 Å, 90.00 90.00 119.13°
Fractional positions:
1 Co 0.000 0.000 0.000
2 Co 0.000 0.500 0.759
3 Co 0.500 0.000 0.241
4 Rh 0.000 0.000 0.500
5 F 0.215 0.284 0.768
6 F 0.216 0.784 0.500
7 F 0.217 0.783 0.000
8 F 0.284 0.215 0.232
9 F 0.716 0.785 0.232
10 F 0.783 0.217 0.000
11 F 0.784 0.216 0.500
12 F 0.785 0.716 0.768

---

(6)
Structure and theoretical powder XRD pattern of Co2Ru2F (a PBE+U-relaxed structure; Cu Kα, 1.54184 Å).
Neutral-atom scattering factors, no anomalous dispersion.

Main lines, in order of rising 2θ (2θ = 15–90°):
- 17.0°, I 38
- 37.8°, I 44
- 38.2°, I 53
- 41.0°, I 71
- 42.0°, I 34
- 42.2°, I 100
- 43.8°, I 29
- 44.7°, I 79
- 53.7°, I 23
- 67.9°, I 25

Structural model:
Cell: 6.805 6.805 9.156 Å, 127.75 127.75 23.09°
Fractional positions:
1 Co 0.000 0.000 0.000
2 Co 0.027 0.027 0.745
3 Co 0.270 0.270 0.935
4 Co 0.655 0.655 0.658
5 Ru 0.330 0.330 0.674
6 Ru 0.356 0.356 0.409
7 Ru 0.677 0.677 0.364
8 Ru 0.692 0.692 0.093
9 F 0.512 0.512 0.387
10 F 0.907 0.907 0.101

---

(7)
Structure and theoretical powder XRD pattern of Co2Ru2F (a PBE+U-relaxed structure; Cu Kα, 1.54184 Å).
Neutral-atom scattering factors, no anomalous dispersion.

Main lines, in order of rising 2θ (2θ = 15–90°):
- 16.4°, I 47
- 35.4°, I 31
- 35.9°, I 18
- 40.8°, I 65
- 42.0°, I 59
- 42.4°, I 100
- 46.6°, I 72
- 52.8°, I 30
- 53.9°, I 17
- 72.2°, I 20

Structural model:
Cell: 4.704 4.704 6.685 Å, 124.34 124.34 33.44°
Fractional positions:
1 Co 0.000 0.000 0.000
2 Co 0.203 0.203 0.802
3 Ru 0.380 0.380 0.598
4 Ru 0.577 0.577 0.410
5 F 0.279 0.279 0.149

---

(8)
Structure and theoretical powder XRD pattern of CoRu2F11 (a PBE+U-relaxed structure; Cu Kα, 1.54184 Å).
Neutral-atom scattering factors, no anomalous dispersion.

Main lines, in order of rising 2θ (2θ = 15–90°):
- 17.2°, I 46
- 22.3°, I 54
- 23.3°, I 100
- 24.7°, I 28
- 27.4°, I 36
- 30.4°, I 19
- 34.0°, I 20
- 45.6°, I 15
- 46.9°, I 27
- 49.0°, I 19

Structural model:
Cell: 8.146 8.146 8.146 Å, 117.72 109.48 101.61°
Fractional positions:
1 Co 0.250 0.250 0.000
2 Co 0.750 0.750 0.000
3 Ru 0.138 0.687 0.825
4 Ru 0.362 0.187 0.549
5 Ru 0.638 0.813 0.451
6 Ru 0.862 0.313 0.175
7 F 0.000 0.500 0.500
8 F 0.095 0.448 0.819
9 F 0.096 0.310 0.150
10 F 0.129 0.948 0.353
11 F 0.160 0.946 0.850
12 F 0.219 0.336 0.556
13 F 0.281 0.836 0.117
14 F 0.340 0.190 0.786
15 F 0.371 0.724 0.819
16 F 0.404 0.554 0.214
17 F 0.405 0.224 0.353
18 F 0.500 0.000 0.500
19 F 0.595 0.776 0.647
20 F 0.596 0.446 0.786
21 F 0.629 0.276 0.181
22 F 0.660 0.810 0.214
23 F 0.719 0.164 0.883
24 F 0.781 0.664 0.444
25 F 0.840 0.054 0.150
26 F 0.871 0.052 0.647
27 F 0.904 0.690 0.850
28 F 0.905 0.552 0.181